1.
The following is a simulated powder diffractogram of NaCeV4O12. It was derived from a crystal structure in Alexandria, relaxed with GGA+U, using CuKα.

Crystal structure
Unit cell a=7.319 b=6.044 c=6.044 alpha=69.41 beta=90.00 gamma=90.00
Element x y z (fractional)
Na 0.000 0.000 0.000
Ce 0.500 0.555 0.555
V 0.248 0.027 0.511
V 0.248 0.511 0.027
V 0.752 0.027 0.511
V 0.752 0.511 0.027
O 0.000 0.016 0.566
O 0.000 0.566 0.016
O 0.212 0.195 0.195
O 0.252 0.696 0.696
O 0.303 0.206 0.660
O 0.303 0.660 0.206
O 0.500 0.442 0.957
O 0.500 0.957 0.442
O 0.697 0.206 0.660
O 0.697 0.660 0.206
O 0.748 0.696 0.696
O 0.788 0.195 0.195

Most intense lines, 2θ from 10° to 80°, in order of rising 2θ:
| d_spacing | 2theta | intensity |
| --- | --- | --- |
| 7.319 | 12.09 | 42 |
| 5.658 | 15.66 | 43 |
| 4.969 | 17.85 | 24 |
| 4.476 | 19.83 | 100 |
| 4.111 | 21.62 | 33 |
| 2.947 | 30.33 | 61 |
| 2.829 | 31.63 | 72 |
| 2.764 | 32.39 | 22 |
| 2.507 | 35.82 | 32 |
| 1.765 | 51.81 | 24 |

2.
The following is a simulated powder diffractogram of NaCeWO6. It was derived from a crystal structure in Alexandria, relaxed with GGA+U, using CuKα.

Crystal structure
Unit cell a=5.515 b=5.515 c=4.843 alpha=90.00 beta=90.00 gamma=120.00
Element x y z (fractional)
Na 0.000 0.000 0.000
Ce 0.667 0.333 0.500
W 0.333 0.667 0.000
O 0.029 0.392 0.229
O 0.029 0.638 0.771
O 0.362 0.392 0.771
O 0.362 0.971 0.229
O 0.608 0.638 0.229
O 0.608 0.971 0.771

Most intense lines, 2θ from 10° to 80°, in order of rising 2θ:
| d_spacing | 2theta | intensity |
| --- | --- | --- |
| 4.776 | 18.58 | 37 |
| 3.401 | 26.21 | 100 |
| 2.757 | 32.47 | 33 |
| 2.142 | 42.19 | 28 |
| 1.820 | 50.13 | 32 |
| 1.692 | 54.23 | 27 |
| 1.592 | 57.93 | 12 |
| 1.529 | 60.54 | 9 |
| 1.278 | 74.22 | 11 |
| 1.203 | 79.68 | 9 |

What did the second record say?
The following is a simulated powder diffractogram of NaCeWO6. It was derived from a crystal structure in Alexandria, relaxed with GGA+U, using CuKα.

Crystal structure
Unit cell a=5.515 b=5.515 c=4.843 alpha=90.00 beta=90.00 gamma=120.00
Element x y z (fractional)
Na 0.000 0.000 0.000
Ce 0.667 0.333 0.500
W 0.333 0.667 0.000
O 0.029 0.392 0.229
O 0.029 0.638 0.771
O 0.362 0.392 0.771
O 0.362 0.971 0.229
O 0.608 0.638 0.229
O 0.608 0.971 0.771

Most intense lines, 2θ from 10° to 80°, in order of rising 2θ:
| d_spacing | 2theta | intensity |
| --- | --- | --- |
| 4.776 | 18.58 | 37 |
| 3.401 | 26.21 | 100 |
| 2.757 | 32.47 | 33 |
| 2.142 | 42.19 | 28 |
| 1.820 | 50.13 | 32 |
| 1.692 | 54.23 | 27 |
| 1.592 | 57.93 | 12 |
| 1.529 | 60.54 | 9 |
| 1.278 | 74.22 | 11 |
| 1.203 | 79.68 | 9 |